For LaSeF, the GGA-PBE geometry in the Materials Project gives the calculated powder XRD pattern in this record (a wavelength of 1.5418 Å).
Intensities are scaled so that the largest is 100.

Structure:
a b c (Å): 4.2358 4.2358 8.2649
angles (deg): 90.00 90.00 120.00
Space group P6_3/mmc (No. 194)
Unique sites:
La (0.3333, 0.6667, 0.2500) [2 per cell]
Se (0.0000, 0.0000, 0.0000) [2 per cell]
F (0.3333, 0.6667, 0.7500) [2 per cell]

Peak list (8 most intense, 2θ = 10–80°, low angle first)
- hkl 1 0 1, 2θ 26.59, d = 3.353 Å, I 69
- hkl 1 0 2, 2θ 32.64, d = 2.743 Å, I 100
- hkl 1 0 3, 2θ 40.97, d = 2.203 Å, I 22
- hkl 1 1 0, 2θ 42.69, d = 2.118 Å, I 52
- hkl 0 0 4, 2θ 43.81, d = 2.066 Å, I 16
- hkl 2 0 2, 2θ 54.76, d = 1.676 Å, I 22
- hkl 1 1 4, 2θ 62.83, d = 1.479 Å, I 32
- hkl 2 1 2, 2θ 71.82, d = 1.314 Å, I 19


For SrLa5F17, the GGA-PBE geometry in the Materials Project gives the calculated powder XRD pattern in this record (a wavelength of 1.5418 Å).
Intensities are scaled so that the largest is 100.

Structure:
a b c (Å): 7.2037 7.2691 7.3639
angles (deg): 89.80 89.40 60.54
Space group P1 (No. 1)
Unique sites:
Sr (0.0000, 0.0000, 0.0000) [1 per cell]
La (0.9997, 0.6571, 0.5287) [1 per cell]
La (0.3373, 0.3390, 0.0336) [1 per cell]
La (0.3469, 0.0004, 0.5270) [1 per cell]
La (0.6397, 0.3611, 0.5338) [1 per cell]
La (0.6609, 0.6779, 0.0334) [1 per cell]
F (0.0336, 0.9808, 0.6536) [1 per cell]
F (0.0356, 0.6740, 0.2093) [1 per cell]
F (0.2912, 0.9827, 0.2150) [1 per cell]
F (0.3140, 0.3774, 0.6944) [1 per cell]
F (0.3228, 0.6781, 0.4705) [1 per cell]
F (0.3378, 0.3095, 0.3600) [1 per cell]
F (0.3434, 0.6614, 0.9730) [1 per cell]
F (0.3598, 0.0259, 0.8542) [1 per cell]
F (0.6370, 0.6626, 0.6937) [1 per cell]
F (0.6533, 0.0064, 0.0842) [1 per cell]
F (0.6526, 0.3639, 0.2097) [1 per cell]
F (0.6755, 0.2969, 0.8493) [1 per cell]
F (0.6810, 0.6848, 0.3594) [1 per cell]
F (0.6843, 0.0085, 0.5199) [1 per cell]
F (0.9468, 0.6995, 0.8500) [1 per cell]
F (0.9927, 0.3273, 0.5174) [1 per cell]
F (0.9972, 0.3509, 0.0266) [1 per cell]

Peak list (8 most intense, 2θ = 10–80°, low angle first)
- hkl 0 0 2, 2θ 24.17, d = 3.682 Å, I 81
- hkl 1 -1 0, 2θ 24.45, d = 3.641 Å, I 41
- hkl 1 -1 1, 2θ 27.21, d = 3.277 Å, I 36
- hkl 1 2 1, 2θ 27.36, d = 3.259 Å, I 100
- hkl 2 1 -1, 2θ 27.69, d = 3.222 Å, I 38
- hkl 0 3 0, 2θ 42.86, d = 2.110 Å, I 34
- hkl 3 0 0, 2θ 43.28, d = 2.091 Å, I 33
- hkl 1 2 3, 2θ 44.46, d = 2.038 Å, I 37


For LaZr2F11, the GGA-PBE geometry in the Materials Project gives the calculated powder XRD pattern in this record (a wavelength of 1.5418 Å).
Intensities are scaled so that the largest is 100.

Structure:
a b c (Å): 7.8949 10.2278 11.2773
angles (deg): 90.00 90.00 90.00
Space group Ibam (No. 72)
Unique sites:
La (0.0000, 0.0000, 0.2500) [4 per cell]
Zr (0.1329, 0.3191, 0.0000) [8 per cell]
F (0.0000, 0.5000, 0.0000) [4 per cell]
F (0.1021, 0.1850, 0.1349) [16 per cell]
F (0.1301, 0.2808, 0.5000) [8 per cell]
F (0.2361, 0.0777, 0.3717) [16 per cell]

Peak list (8 most intense, 2θ = 10–80°, low angle first)
- hkl 1 1 0, 2θ 14.17, d = 6.250 Å, I 21
- hkl 1 1 2, 2θ 21.22, d = 4.187 Å, I 100
- hkl 1 2 1, 2θ 22.16, d = 4.011 Å, I 26
- hkl 0 2 2, 2θ 23.49, d = 3.788 Å, I 59
- hkl 2 1 1, 2θ 25.44, d = 3.501 Å, I 40
- hkl 1 3 0, 2θ 28.53, d = 3.129 Å, I 24
- hkl 1 3 4, 2θ 43.20, d = 2.094 Å, I 46
- hkl 3 3 2, 2θ 46.47, d = 1.954 Å, I 26


For LiF3, the GGA-PBE geometry in the Materials Project gives the calculated powder XRD pattern in this record (a wavelength of 1.5418 Å).
Intensities are scaled so that the largest is 100.

Structure:
a b c (Å): 4.4183 4.4183 4.6530
angles (deg): 90.00 90.00 120.00
Space group P6_3/mmc (No. 194)
Unique sites:
Li (0.3333, 0.6667, 0.2500) [2 per cell]
F (0.1688, 0.3375, 0.7500) [6 per cell]

Peak list (8 most intense, 2θ = 10–80°, low angle first)
- hkl 1 0 0, 2θ 23.25, d = 3.826 Å, I 8
- hkl 1 0 1, 2θ 30.24, d = 2.955 Å, I 34
- hkl 0 0 2, 2θ 38.70, d = 2.327 Å, I 61
- hkl 1 1 0, 2θ 40.85, d = 2.209 Å, I 8
- hkl 2 0 0, 2θ 47.53, d = 1.913 Å, I 23
- hkl 2 0 1, 2θ 51.66, d = 1.769 Å, I 100
- hkl 2 0 2, 2θ 62.89, d = 1.478 Å, I 16
- hkl 2 0 3, 2θ 79.56, d = 1.205 Å, I 19


For LiMgSO4F, the GGA-PBE geometry in the Materials Project gives the calculated powder XRD pattern in this record (a wavelength of 1.5418 Å).
Intensities are scaled so that the largest is 100.

Structure:
a b c (Å): 5.3091 6.4029 6.9883
angles (deg): 108.43 106.69 101.63
Space group P-1 (No. 2)
Unique sites:
Li (0.2473, 0.3146, 0.1624) [2 per cell]
Mg (0.5000, 0.0000, 0.0000) [1 per cell]
Mg (0.5000, 0.0000, 0.5000) [1 per cell]
S (0.0831, 0.4541, 0.6387) [2 per cell]
O (0.1345, 0.6654, 0.8309) [2 per cell]
O (0.1487, 0.7370, 0.3926) [2 per cell]
O (0.2731, 0.1761, 0.8857) [2 per cell]
O (0.3346, 0.4041, 0.6230) [2 per cell]
F (0.3635, 0.0732, 0.2482) [2 per cell]

Peak list (8 most intense, 2θ = 10–80°, low angle first)
- hkl 0 0 1, 2θ 14.43, d = 6.139 Å, I 44
- hkl 1 0 -1, 2θ 18.64, d = 4.761 Å, I 53
- hkl 1 -1 0, 2θ 19.88, d = 4.466 Å, I 95
- hkl -1 1 1, 2θ 24.16, d = 3.684 Å, I 75
- hkl 0 1 -2, 2θ 26.93, d = 3.311 Å, I 53
- hkl 1 1 0, 2θ 27.73, d = 3.218 Å, I 100
- hkl 1 -2 2, 2θ 38.67, d = 2.328 Å, I 50
- hkl 0 1 -3, 2θ 40.44, d = 2.230 Å, I 45


For LiMgSO4F, the GGA-PBE geometry in the Materials Project gives the calculated powder XRD pattern in this record (a wavelength of 1.5418 Å).
Intensities are scaled so that the largest is 100.

Structure:
a b c (Å): 5.2207 5.4700 7.2080
angles (deg): 106.76 107.48 97.29
Space group P1 (No. 1)
Unique sites:
Li (0.0000, 0.0000, 0.0000) [1 per cell]
Li (0.4717, 0.7395, 0.4967) [1 per cell]
Mg (0.7435, 0.3805, 0.7838) [1 per cell]
Mg (0.7495, 0.3771, 0.2848) [1 per cell]
S (0.0779, 0.0164, 0.5366) [1 per cell]
S (0.4158, 0.7460, 0.0344) [1 per cell]
O (0.0161, 0.1521, 0.3839) [1 per cell]
O (0.0624, 0.7336, 0.4301) [1 per cell]
O (0.1299, 0.6348, 0.8827) [1 per cell]
O (0.3631, 0.1268, 0.6884) [1 per cell]
O (0.4293, 0.0275, 0.1393) [1 per cell]
O (0.4760, 0.6100, 0.1890) [1 per cell]
O (0.6193, 0.7208, 0.9257) [1 per cell]
O (0.8746, 0.0374, 0.6471) [1 per cell]
F (0.6383, 0.4627, 0.5287) [1 per cell]
F (0.8544, 0.2984, 0.0395) [1 per cell]

Peak list (8 most intense, 2θ = 10–80°, low angle first)
- hkl 0 1 -1, 2θ 18.09, d = 4.905 Å, I 40
- hkl 1 0 -1, 2θ 18.60, d = 4.769 Å, I 53
- hkl -1 1 1, 2θ 25.91, d = 3.439 Å, I 60
- hkl 1 -1 1, 2θ 26.44, d = 3.371 Å, I 47
- hkl 0 1 -2, 2θ 27.14, d = 3.286 Å, I 73
- hkl 1 0 -2, 2θ 27.24, d = 3.274 Å, I 40
- hkl 1 1 0, 2θ 28.25, d = 3.159 Å, I 100
- hkl 1 -2 0, 2θ 35.80, d = 2.508 Å, I 28